(1)
Computed powder XRD pattern of Ac3HgPd for Cu Kα, from the PBE geometry in Alexandria.

Top 10 peaks for 10° ≤ 2θ ≤ 90°, by angle:
two_theta, d/Å, I (rel.)
25.21, 3.532, 38
26.45, 3.370, 41
28.02, 3.184, 100
29.92, 2.987, 34
30.73, 2.910, 30
32.83, 2.728, 37
34.98, 2.565, 58
37.92, 2.373, 31
42.07, 2.148, 30
50.10, 1.821, 36

Structural model:
```
Ac3HgPd
1.0
4.2953 0.0000 0.0000
0.0000 7.9113 5.4358
0.0000 -7.9113 5.4358
Ac Hg Pd
6 2 2
Cartesian
0.0000 -6.0352 5.4358
0.0000 -1.8769 4.1640
0.0000 1.8769 4.1640
0.0000 6.0352 5.4358
2.1476 -2.6907 7.5188
2.1476 2.6907 7.5188
0.0000 0.0000 7.5122
2.1476 0.0000 2.0815
2.1476 -3.9555 4.8000
2.1476 3.9555 4.8000
```


(2)
Computed powder XRD pattern of BaCa2Y6O12 for Cu Kα, from the PBE geometry in Alexandria.

Top 10 peaks for 10° ≤ 2θ ≤ 90°, by angle:
two_theta, d/Å, I (rel.)
30.02, 2.976, 100
31.46, 2.844, 71
37.50, 2.398, 23
44.04, 2.056, 41
53.31, 1.718, 22
53.78, 1.704, 11
54.22, 1.692, 38
62.40, 1.488, 13
62.83, 1.479, 24
79.14, 1.210, 13

Structural model:
```
BaCa2Y6O12
1.0
10.3109 0.0000 0.0000
-5.1554 8.9295 0.0000
0.0000 0.0000 3.4089
Ba Ca Y O
1 2 6 12
Cartesian
0.0000 0.0000 0.0000
0.0000 5.9530 0.0000
5.1554 2.9765 1.7045
-3.3533 5.8277 0.0000
3.5788 0.0054 1.7045
1.7852 3.1115 0.0000
1.5682 8.9197 0.0000
3.3707 5.8274 1.7045
8.5168 3.0966 1.7045
-0.4285 2.7514 0.0000
-1.7632 5.4029 1.7045
-2.5584 7.9248 0.0000
1.9405 1.6044 1.7045
1.3580 4.7010 1.7045
0.4052 7.7551 1.7045
4.7552 1.2204 0.0000
3.8347 4.2011 0.0000
2.9869 7.1827 0.0000
7.9512 0.8784 1.7045
6.8763 3.5079 0.0000
5.5746 6.4467 1.7045
```


(3)
Computed powder XRD pattern of Pr5HoSn3 for Cu Kα, from the PBE geometry in Alexandria.

Top 10 peaks for 10° ≤ 2θ ≤ 90°, by angle:
two_theta, d/Å, I (rel.)
32.02, 2.795, 100
32.22, 2.778, 91
46.07, 1.970, 34
54.07, 1.696, 8
57.08, 1.614, 20
57.21, 1.610, 36
64.24, 1.450, 27
66.96, 1.397, 12
76.27, 1.248, 15
82.52, 1.169, 14

Structural model:
```
Pr5HoSn3
1.0
9.6815 0.0000 0.0000
-4.8407 8.3844 0.0000
0.0000 0.0000 6.7841
Pr Ho Sn
10 2 6
Cartesian
-1.6006 2.7722 1.6960
-3.2402 5.6122 5.0881
3.2011 0.0000 1.6960
1.6006 2.7722 5.0881
0.0000 5.5896 0.0000
0.0000 5.5896 3.3920
4.8407 2.7948 0.0000
4.8407 2.7948 3.3920
6.4804 0.0000 5.0881
3.2402 5.6122 1.6960
0.0000 0.0000 0.0000
0.0000 0.0000 3.3920
-1.6112 2.7907 5.0881
-3.2295 5.5937 1.6960
3.2224 0.0000 5.0881
1.6112 2.7907 1.6960
6.4591 0.0000 1.6960
3.2295 5.5937 5.0881
```


(4)
Computed powder XRD pattern of BeMo4Ru for Cu Kα, from the PBE geometry in Alexandria.

Top 10 peaks for 10° ≤ 2θ ≤ 90°, by angle:
two_theta, d/Å, I (rel.)
21.22, 4.187, 44
24.55, 3.626, 13
35.00, 2.564, 12
41.29, 2.186, 100
43.22, 2.093, 60
50.33, 1.813, 14
67.06, 1.396, 31
73.94, 1.282, 27
88.39, 1.106, 11
89.69, 1.093, 23

Structural model:
```
BeMo4Ru
1.0
0.0000 3.6258 3.6258
3.6258 0.0000 3.6258
3.6258 3.6258 0.0000
Be Mo Ru
1 4 1
Cartesian
0.0000 0.0000 0.0000
4.5387 2.7128 2.7128
2.7128 4.5387 2.7128
2.7128 2.7128 4.5387
4.5387 4.5387 4.5387
1.8129 1.8129 1.8129
```


(5)
Computed powder XRD pattern of Pr2Fe5Co12 for Cu Kα, from the PBE geometry in Alexandria.

Top 10 peaks for 10° ≤ 2θ ≤ 90°, by angle:
two_theta, d/Å, I (rel.)
30.37, 2.943, 38
36.88, 2.437, 38
38.21, 2.355, 31
42.85, 2.111, 66
43.17, 2.096, 100
44.08, 2.054, 53
48.50, 1.877, 25
62.45, 1.487, 18
63.16, 1.472, 28
80.48, 1.193, 16

Structural model:
```
Pr2Fe5Co12
1.0
4.2212 2.4371 4.1060
-4.2212 2.4371 4.1060
0.0000 -4.8742 4.1060
Pr Fe Co
2 5 12
Cartesian
0.0000 0.0000 1.9275
0.0000 0.0000 10.3905
-2.1106 -1.2186 4.1060
0.0000 0.0000 4.9884
-2.1106 1.2186 8.2120
0.0000 2.4371 4.1060
0.0000 0.0000 7.3296
0.0000 -2.4241 3.9856
-2.0993 1.2120 3.9856
-1.2025 -2.0829 6.1590
-2.4051 0.0000 6.1590
-2.0993 -1.2120 8.3324
1.2026 -2.0829 6.1590
-1.2026 2.0829 6.1590
2.0993 1.2120 3.9856
2.4051 0.0000 6.1590
1.2026 2.0829 6.1590
2.0993 -1.2120 8.3324
0.0000 2.4241 8.3324
```


(6)
Computed powder XRD pattern of Tm2HfGa2Rh5 for Cu Kα, from the PBE geometry in Alexandria.

Top 10 peaks for 10° ≤ 2θ ≤ 90°, by angle:
two_theta, d/Å, I (rel.)
32.49, 2.756, 24
36.20, 2.482, 24
37.52, 2.397, 40
38.50, 2.339, 100
38.65, 2.330, 11
40.83, 2.210, 20
41.74, 2.164, 23
51.89, 1.762, 18
65.77, 1.420, 15
89.03, 1.100, 10

Structural model:
```
Tm2HfGa2Rh5
1.0
9.8847 0.0000 0.0000
0.0000 9.8847 0.0000
0.0000 0.0000 3.5242
Tm Hf Ga Rh
4 2 4 10
Cartesian
1.7022 3.2402 0.0000
3.2402 8.1825 0.0000
6.6445 1.7022 0.0000
8.1825 6.6445 0.0000
0.0000 0.0000 0.0000
4.9424 4.9424 0.0000
1.2394 6.1818 0.0000
3.7029 1.2394 0.0000
6.1818 8.6453 0.0000
8.6453 3.7029 0.0000
0.0000 4.9424 1.7621
0.6717 7.8560 1.7621
2.0287 0.6717 1.7621
2.9137 5.6140 1.7621
4.2707 2.9137 1.7621
4.9424 0.0000 1.7621
5.6140 6.9710 1.7621
6.9710 4.2707 1.7621
7.8560 9.2131 1.7621
9.2131 2.0287 1.7621
```